[1]
Starting from a cell relaxed with GGA-PBE, the PXRD pattern of Ni3Te5 was calculated for Cu Kα X-rays.
No peak broadening, texture or thermal motion is included.

The 8 most intense peaks (10 to 90 degrees two-theta), in order of rising 2θ:
(hkl), 2θ (°), I (rel.)
1 1 1, 26.97, 17
0 2 1, 27.85, 11
0 4 0, 30.08, 31
2 2 1, 35.75, 100
3 3 0, 40.44, 10
4 0 0, 44.76, 16
0 0 2, 47.84, 14
2 6 1, 57.16, 13

Atomic structure:
a = 8.097 Å, b = 11.885 Å, c = 3.803 Å
α = 90.00°, β = 90.00°, γ = 90.00°
Space group Cmmm (No. 65)
Symmetry-distinct sites (fractional):
Ni 0.000 0.000 0.000 (multiplicity 2)
Ni 0.000 0.167 0.500 (multiplicity 4)
Te 0.000 0.500 0.000 (multiplicity 2)
Te 0.202 0.000 0.500 (multiplicity 4)
Te 0.250 0.250 0.000 (multiplicity 4)

[2]
Starting from a cell relaxed with GGA-PBE, the PXRD pattern of AcTiSbO5 was calculated for Cu Kα X-rays.
No peak broadening, texture or thermal motion is included.

The 8 most intense peaks (10 to 90 degrees two-theta), in order of rising 2θ:
(hkl), 2θ (°), I (rel.)
0 2 0, 19.29, 43
1 1 1, 23.38, 45
0 0 2, 25.04, 46
2 0 0, 25.48, 47
2 0 -2, 27.16, 70
0 2 2, 31.80, 46
1 3 -1, 32.19, 100
2 2 -2, 33.53, 30

Atomic structure:
a = 7.718 Å, b = 9.203 Å, c = 7.852 Å
α = 90.00°, β = 115.07°, γ = 90.00°
Space group C2/c (No. 15)
Symmetry-distinct sites (fractional):
Ac 0.000 0.062 0.250 (multiplicity 4)
Ti 0.250 0.250 0.000 (multiplicity 4)
Sb 0.000 0.465 0.250 (multiplicity 4)
O 0.000 0.230 0.750 (multiplicity 4)
O 0.088 0.304 0.129 (multiplicity 8)
O 0.208 0.044 0.053 (multiplicity 8)

Copy entry 1 word for word.
Starting from a cell relaxed with GGA-PBE, the PXRD pattern of Ni3Te5 was calculated for Cu Kα X-rays.
No peak broadening, texture or thermal motion is included.

The 8 most intense peaks (10 to 90 degrees two-theta), in order of rising 2θ:
(hkl), 2θ (°), I (rel.)
1 1 1, 26.97, 17
0 2 1, 27.85, 11
0 4 0, 30.08, 31
2 2 1, 35.75, 100
3 3 0, 40.44, 10
4 0 0, 44.76, 16
0 0 2, 47.84, 14
2 6 1, 57.16, 13

Atomic structure:
a = 8.097 Å, b = 11.885 Å, c = 3.803 Å
α = 90.00°, β = 90.00°, γ = 90.00°
Space group Cmmm (No. 65)
Symmetry-distinct sites (fractional):
Ni 0.000 0.000 0.000 (multiplicity 2)
Ni 0.000 0.167 0.500 (multiplicity 4)
Te 0.000 0.500 0.000 (multiplicity 2)
Te 0.202 0.000 0.500 (multiplicity 4)
Te 0.250 0.250 0.000 (multiplicity 4)